Diffraction record for ZnSe. The X-ray diffraction stick pattern is computed, not measured: it uses a crystal structure in Alexandria, relaxed with PBE and λ = 1.5418 Å (Cu Kα).

Peak list (10 most intense, 10 to 90 degrees two-theta, low angle first)
d [Å]	two_theta	I (rel.)	hkl
3.458	25.8	38	1 0 1
3.313	26.9	100	0 0 6
3.103	28.8	20	1 0 3
2.209	40.8	11	1 0 7
2.028	44.7	89	1 1 0
1.871	48.7	26	1 0 9
1.730	52.9	53	1 1 6
1.171	82.4	19	3 0 0
1.138	85.3	10	2 1 9
1.104	88.6	12	3 0 6

Atomic structure:
```
data_ZnSe
_cell_length_a 4.0544
_cell_length_b 4.0544
_cell_length_c 19.8998
_cell_angle_alpha 90.00
_cell_angle_beta 90.00
_cell_angle_gamma 120.00
_space_group_name_H-M_alt 'P 63 m c'
_space_group_IT_number 186
_space_group_name_Hall 'P 6c -2c'
loop_
_atom_site_label
_atom_site_type_symbol
_atom_site_fract_x
_atom_site_fract_y
_atom_site_fract_z
_atom_site_occupancy
Zn1 Zn 0.0000 0.0000 0.0000 1
Zn2 Zn 0.3333 0.6667 0.1667 1
Zn3 Zn 0.3333 0.6667 0.8332 1
Se1 Se 0.0000 0.0000 0.3749 1
Se2 Se 0.3333 0.6667 0.0419 1
Se3 Se 0.3333 0.6667 0.7084 1
```